The following is a simulated powder diffraction line list of Re2Sb4O13. It was derived from DFT lattice parameters and positions (GGA-PBE), using Cu Kα X-rays.
Intensities are scaled so that the largest is 100.

Principal peaks in the range 2θ = 10–80°, low angle first:
hkl  2θ/deg  d/Å  I/Imax
1 -1 1  19.84  4.475  51
1 2 0  20.37  4.360  29
2 0 1  24.21  3.676  16
0 2 2  25.22  3.532  100
1 2 -1  25.48  3.496  31
2 2 2  26.24  3.396  34
1 1 -2  27.63  3.228  24
1 0 3  27.87  3.201  47
1 -2 1  28.62  3.119  24
1 3 0  29.32  3.046  14
2 0 -1  29.52  3.026  23
1 2 5  45.63  1.988  13

Crystal structure
abc: 7.957 9.627 10.166
angles: 72.95 68.59 68.09
Element x y z (fractional)
Re1 0.142 0.179 0.140
Re2 0.320 0.054 0.717
Re3 0.680 0.946 0.283
Re4 0.858 0.821 0.860
Sb1 0.196 0.394 0.392
Sb2 0.231 0.754 0.454
Sb3 0.316 0.649 0.072
Sb4 0.325 0.469 0.769
Sb5 0.675 0.531 0.231
Sb6 0.684 0.351 0.928
Sb7 0.769 0.246 0.546
Sb8 0.804 0.606 0.608
O1 0.069 0.704 0.902
O2 0.087 0.586 0.503
O3 0.124 0.217 0.306
O4 0.141 0.121 0.866
O5 0.154 0.522 0.208
O6 0.167 0.986 0.168
O7 0.218 0.067 0.586
O8 0.338 0.223 0.007
O9 0.364 0.635 0.602
O10 0.390 0.635 0.292
O11 0.427 0.516 0.906
O12 0.444 0.864 0.769
O13 0.472 0.171 0.647
O14 0.528 0.829 0.353
O15 0.556 0.136 0.231
O16 0.573 0.484 0.094
O17 0.610 0.365 0.708
O18 0.636 0.365 0.398
O19 0.662 0.777 0.993
O20 0.782 0.933 0.414
O21 0.833 0.014 0.832
O22 0.846 0.478 0.792
O23 0.859 0.879 0.134
O24 0.876 0.783 0.694
O25 0.913 0.414 0.497
O26 0.931 0.296 0.098